The following is a simulated XRD peak list of KTi2WO8. It was derived from a crystal structure in Alexandria, relaxed with GGA+U, using CuKα.
Neutral-atom scattering factors, no anomalous dispersion.

The 10 most intense peaks (10° ≤ 2θ ≤ 80°), by angle:
two_theta  d/Å  I_rel  hkl
12.79  6.924  40  0 0 1
17.97  4.938  34  1 1 0
20.62  4.307  100  1 1 -1
21.43  4.146  76  2 0 0
23.51  3.783  22  1 1 1
29.06  3.073  36  0 2 0
29.42  3.036  56  1 1 -2
33.58  2.669  31  1 1 2
35.61  2.521  17  3 1 0
48.94  1.861  19  3 1 2

Structural model:
```
data_KTi2WO8
_cell_length_a 8.519
_cell_length_b 6.146
_cell_length_c 7.113
_cell_angle_alpha 90.00
_cell_angle_beta 103.25
_cell_angle_gamma 90.00
_space_group_name_H-M_alt 'C 1 2/m 1'
_space_group_IT_number 12
_space_group_name_Hall '-C 2y'
loop_
_atom_site_label
_atom_site_type_symbol
_atom_site_fract_x
_atom_site_fract_y
_atom_site_fract_z
K1 K 0.000 0.000 0.000
Ti1 Ti 0.061 0.500 0.208
W1 W 0.000 0.000 0.500
O1 O 0.027 0.226 0.316
O2 O 0.142 0.500 0.991
O3 O 0.226 0.000 0.612
```